Computed XRD peak list of SnH for CuKα, from a structure optimized by DFT (PBE).
Intensities are scaled so that the largest is 1000.

Top 12 peaks for 10° ≤ 2θ ≤ 90°, by angle:
2θ (°)  I (rel.)
22.3  999
31.2  926
34.1  366
38.6  1000
41.1  422
45.5  166
56.2  359
58.1  163
58.7  154
59.2  154
64.1  239
69.6  190

Structure:
Cell lengths 3.4258, 5.2584, 3.9884 Å; angles 90.00, 90.00, 90.00 degrees
Positions (direct):
Sn 0.0000 0.0000 0.0000
Sn 0.5000 0.5000 0.0000
H 0.0000 0.0000 0.5000
H 0.5000 0.5000 0.5000

---

Computed XRD peak list of La2Ge4IrPt3 for CuKα, from a structure optimized by DFT (PBE).
Intensities are scaled so that the largest is 1000.

Top 12 peaks for 10° ≤ 2θ ≤ 90°, by angle:
2θ (°)  I (rel.)
30.4  302
33.2  596
33.9  1000
41.6  744
45.9  394
48.7  252
54.2  296
60.3  250
65.9  203
71.0  235
78.9  162
87.8  180

Structure:
Cell lengths 4.3443, 4.3443, 10.3493 Å; angles 90.00, 90.00, 90.00 degrees
Positions (direct):
La 0.0000 0.5000 0.2470
La 0.5000 0.0000 0.7530
Ge 0.0000 0.0000 0.0000
Ge 0.0000 0.5000 0.6304
Ge 0.5000 0.0000 0.3696
Ge 0.5000 0.5000 0.0000
Ir 0.0000 0.0000 0.5000
Pt 0.0000 0.5000 0.8717
Pt 0.5000 0.0000 0.1283
Pt 0.5000 0.5000 0.5000

---

Computed XRD peak list of Pu2ScMnSe5 for CuKα, from a structure optimized by DFT (PBE).
Intensities are scaled so that the largest is 1000.

Top 12 peaks for 10° ≤ 2θ ≤ 90°, by angle:
2θ (°)  I (rel.)
12.7  238
21.0  208
24.0  305
31.1  262
31.7  1000
32.6  273
34.9  291
35.2  235
37.9  490
38.7  189
45.7  242
57.3  189

Structure:
Cell lengths 8.6723, 8.6723, 12.3690 Å; angles 90.00, 90.00, 153.53 degrees
Positions (direct):
Pu 0.1158 0.8842 0.5000
Pu 0.1226 0.8774 0.8498
Pu 0.8774 0.1226 0.3498
Pu 0.8842 0.1158 0.0000
Sc 0.1883 0.8117 0.1841
Sc 0.8117 0.1883 0.6841
Mn 0.4427 0.5573 0.5774
Mn 0.5573 0.4427 0.0774
Se 0.0225 0.9775 0.1805
Se 0.3033 0.6967 0.5220
Se 0.3049 0.6951 0.8347
Se 0.3464 0.6536 0.1743
Se 0.4971 0.5029 0.9032
Se 0.5029 0.4971 0.4032
Se 0.6536 0.3464 0.6743
Se 0.6951 0.3049 0.3347
Se 0.6967 0.3033 0.0220
Se 0.9775 0.0225 0.6805

---

Computed XRD peak list of Ca3CuPt for CuKα, from a structure optimized by DFT (PBE).
Intensities are scaled so that the largest is 1000.

Top 12 peaks for 10° ≤ 2θ ≤ 90°, by angle:
2θ (°)  I (rel.)
13.5  603
19.5  796
22.6  720
26.4  437
31.5  586
33.6  406
35.6  1000
36.0  519
39.6  257
41.3  347
46.0  296
62.0  267

Structure:
Cell lengths 4.3711, 9.1048, 6.5689 Å; angles 90.00, 90.00, 90.00 degrees
Positions (direct):
Ca 0.2500 0.0530 0.2226
Ca 0.2500 0.2500 0.7325
Ca 0.2500 0.4470 0.2226
Ca 0.7500 0.5530 0.7774
Ca 0.7500 0.7500 0.2675
Ca 0.7500 0.9470 0.7774
Cu 0.2500 0.7500 0.5802
Cu 0.7500 0.2500 0.4198
Pt 0.2500 0.7500 0.9671
Pt 0.7500 0.2500 0.0329

---

Computed XRD peak list of KMg3CuAs3O12 for CuKα, from a structure optimized by DFT (PBE).
Intensities are scaled so that the largest is 1000.

Top 12 peaks for 10° ≤ 2θ ≤ 90°, by angle:
2θ (°)  I (rel.)
19.8  269
21.5  289
23.3  227
24.5  451
26.4  215
27.1  796
28.2  390
31.6  517
31.8  1000
33.3  239
45.7  236
53.9  415

Structure:
Cell lengths 8.9333, 8.9333, 6.8599 Å; angles 105.53, 105.53, 92.93 degrees
Positions (direct):
K 0.0153 0.9847 0.7500
K 0.9847 0.0153 0.2500
Mg 0.0608 0.3766 0.6288
Mg 0.2572 0.7428 0.2500
Mg 0.3766 0.0608 0.1288
Mg 0.6234 0.9392 0.8712
Mg 0.7428 0.2572 0.7500
Mg 0.9392 0.6234 0.3712
Cu 0.4976 0.5024 0.7500
Cu 0.5024 0.4976 0.2500
As 0.1223 0.3528 0.1271
As 0.2853 0.7147 0.7500
As 0.3528 0.1223 0.6271
As 0.6472 0.8777 0.3729
As 0.7147 0.2853 0.2500
As 0.8777 0.6472 0.8729
O 0.0086 0.6690 0.1188
O 0.0290 0.4058 0.3205
O 0.1746 0.7498 0.5234
O 0.1760 0.1852 0.6221
O 0.1852 0.1760 0.1221
O 0.2502 0.8254 0.9766
O 0.2754 0.5159 0.7378
O 0.2761 0.5007 0.1845
O 0.3310 0.9914 0.3812
O 0.4058 0.0290 0.8205
O 0.4841 0.7246 0.7622
O 0.4993 0.7239 0.3155
O 0.5007 0.2761 0.6845
O 0.5159 0.2754 0.2378
O 0.5942 0.9710 0.1795
O 0.6690 0.0086 0.6188
O 0.7239 0.4993 0.8155
O 0.7246 0.4841 0.2622
O 0.7498 0.1746 0.0234
O 0.8148 0.8240 0.8779
O 0.8240 0.8148 0.3779
O 0.8254 0.2502 0.4766
O 0.9710 0.5942 0.6795
O 0.9914 0.3310 0.8812

---

Computed XRD peak list of Ti4PtN for CuKα, from a structure optimized by DFT (PBE).
Intensities are scaled so that the largest is 1000.

Top 12 peaks for 10° ≤ 2θ ≤ 90°, by angle:
2θ (°)  I (rel.)
15.0  718
23.0  601
24.0  468
28.5  677
34.9  244
38.4  406
39.0  1000
41.0  339
42.9  358
43.9  278
51.8  293
58.9  227

Structure:
Cell lengths 4.2171, 7.7438, 5.8978 Å; angles 90.00, 90.00, 90.00 degrees
Positions (direct):
Ti 0.2500 0.0470 0.2151
Ti 0.2500 0.2500 0.7445
Ti 0.2500 0.4530 0.2151
Ti 0.2500 0.7500 0.5667
Ti 0.7500 0.2500 0.4333
Ti 0.7500 0.5470 0.7849
Ti 0.7500 0.7500 0.2555
Ti 0.7500 0.9530 0.7849
Pt 0.2500 0.7500 0.0132
Pt 0.7500 0.2500 0.9868
N 0.2500 0.2500 0.4175
N 0.7500 0.7500 0.5825